Diffraction record for TmSiNiIr. The PXRD pattern is simulated, not measured: it uses a structure optimized by DFT (PBE) and a wavelength of 1.5418 Å.

Main lines, sorted by position (10° ≤ 2θ ≤ 90°):
| d (Å) | Position (°2θ) | I_rel |
| --- | --- | --- |
| 4.713 | 18.8 | 40 |
| 2.774 | 32.3 | 100 |
| 2.473 | 36.3 | 59 |
| 2.431 | 37.0 | 64 |
| 2.390 | 37.6 | 46 |
| 2.006 | 45.2 | 26 |
| 1.920 | 47.4 | 23 |
| 1.706 | 53.7 | 18 |
| 1.692 | 54.2 | 18 |
| 1.547 | 59.8 | 32 |
| 1.517 | 61.1 | 26 |
| 1.275 | 74.4 | 16 |

Atomic structure:
Cell lengths 3.839, 4.012, 9.425 Å; angles 90.00, 90.00, 90.00 degrees
Positions (direct):
Tm  0.000  0.000  0.000
Tm  0.500  0.500  0.500
Si  0.000  0.500  0.255
Si  0.500  0.000  0.755
Ni  0.000  0.000  0.359
Ni  0.500  0.500  0.859
Ir  0.000  0.000  0.620
Ir  0.500  0.500  0.120

---

Diffraction record for SmZn3NiIr. The PXRD pattern is simulated, not measured: it uses a structure optimized by DFT (PBE) and a wavelength of 1.5418 Å.

Main lines, sorted by position (10° ≤ 2θ ≤ 90°):
| d (Å) | Position (°2θ) | I_rel |
| --- | --- | --- |
| 4.078 | 21.8 | 18 |
| 3.466 | 25.7 | 27 |
| 3.061 | 29.2 | 46 |
| 2.908 | 30.7 | 32 |
| 2.754 | 32.5 | 49 |
| 2.673 | 33.5 | 28 |
| 2.461 | 36.5 | 41 |
| 2.138 | 42.3 | 100 |
| 2.117 | 42.7 | 32 |
| 2.013 | 45.0 | 81 |
| 1.521 | 60.9 | 34 |
| 1.416 | 66.0 | 26 |

Atomic structure:
Cell lengths 7.011, 7.011, 5.346 Å; angles 90.00, 90.00, 128.22 degrees
Positions (direct):
Sm  0.228  0.772  0.750
Sm  0.772  0.228  0.250
Zn  0.204  0.204  0.000
Zn  0.204  0.204  0.500
Zn  0.360  0.640  0.250
Zn  0.640  0.360  0.750
Zn  0.796  0.796  0.000
Zn  0.796  0.796  0.500
Ni  0.438  0.562  0.750
Ni  0.562  0.438  0.250
Ir  0.153  0.847  0.250
Ir  0.847  0.153  0.750

---

Diffraction record for NiSn4Ir. The PXRD pattern is simulated, not measured: it uses a structure optimized by DFT (PBE) and a wavelength of 1.5418 Å.

Main lines, sorted by position (10° ≤ 2θ ≤ 90°):
| d (Å) | Position (°2θ) | I_rel |
| --- | --- | --- |
| 4.444 | 20.0 | 49 |
| 3.143 | 28.4 | 18 |
| 2.811 | 31.8 | 100 |
| 2.222 | 40.6 | 92 |
| 1.815 | 50.3 | 51 |
| 1.743 | 52.5 | 26 |
| 1.571 | 58.8 | 12 |
| 1.524 | 60.8 | 16 |
| 1.406 | 66.5 | 22 |
| 1.188 | 80.9 | 20 |
| 1.167 | 82.7 | 16 |
| 1.111 | 87.9 | 28 |

Atomic structure:
Cell lengths 7.258, 7.258, 7.258 Å; angles 104.49, 104.49, 119.97 degrees
Positions (direct):
Ni  0.000  0.000  0.000
Ni  0.750  0.250  0.500
Sn  0.023  0.239  0.784
Sn  0.455  0.239  0.216
Sn  0.501  0.207  0.706
Sn  0.501  0.795  0.294
Sn  0.545  0.751  0.794
Sn  0.957  0.751  0.206
Sn  0.989  0.273  0.284
Sn  0.989  0.705  0.716
Ir  0.239  0.739  0.500
Ir  0.489  0.489  0.000

---

Diffraction record for Ni14SnIr. The PXRD pattern is simulated, not measured: it uses a structure optimized by DFT (PBE) and a wavelength of 1.5418 Å.

Main lines, sorted by position (10° ≤ 2θ ≤ 90°):
| d (Å) | Position (°2θ) | I_rel |
| --- | --- | --- |
| 8.292 | 10.7 | 23 |
| 2.149 | 42.0 | 64 |
| 2.134 | 42.4 | 33 |
| 2.073 | 43.7 | 55 |
| 1.961 | 46.3 | 100 |
| 1.949 | 46.6 | 47 |
| 1.733 | 52.8 | 31 |
| 1.725 | 53.1 | 16 |
| 1.330 | 70.9 | 15 |
| 1.278 | 74.2 | 22 |
| 1.174 | 82.1 | 16 |
| 1.094 | 89.6 | 17 |

Atomic structure:
Cell lengths 8.292, 5.113, 5.113 Å; angles 60.51, 90.00, 90.00 degrees
Positions (direct):
Ni  0.000  0.000  0.000
Ni  0.000  0.499  0.499
Ni  0.000  0.499  0.999
Ni  0.000  0.999  0.499
Ni  0.239  0.173  0.666
Ni  0.239  0.666  0.173
Ni  0.240  0.664  0.664
Ni  0.245  0.167  0.167
Ni  0.500  0.334  0.836
Ni  0.500  0.836  0.334
Ni  0.755  0.167  0.167
Ni  0.760  0.664  0.664
Ni  0.761  0.173  0.666
Ni  0.761  0.666  0.173
Sn  0.500  0.834  0.834
Ir  0.500  0.335  0.335

---

Diffraction record for SrNiIr2. The PXRD pattern is simulated, not measured: it uses a structure optimized by DFT (PBE) and a wavelength of 1.5418 Å.

Main lines, sorted by position (10° ≤ 2θ ≤ 90°):
| d (Å) | Position (°2θ) | I_rel |
| --- | --- | --- |
| 4.376 | 20.3 | 21 |
| 2.831 | 31.6 | 14 |
| 2.377 | 37.9 | 100 |
| 2.188 | 41.3 | 20 |
| 2.002 | 45.3 | 30 |
| 1.820 | 50.1 | 8 |
| 1.731 | 52.9 | 7 |
| 1.477 | 62.9 | 23 |
| 1.415 | 66.0 | 10 |
| 1.297 | 73.0 | 15 |
| 1.216 | 78.7 | 24 |
| 1.188 | 80.9 | 11 |

Atomic structure:
Cell lengths 4.003, 4.003, 8.751 Å; angles 90.00, 90.00, 90.00 degrees
Positions (direct):
Sr  0.000  0.000  0.000
Sr  0.500  0.500  0.500
Ni  0.000  0.000  0.500
Ni  0.500  0.500  0.000
Ir  0.000  0.500  0.250
Ir  0.000  0.500  0.750
Ir  0.500  0.000  0.250
Ir  0.500  0.000  0.750

---

Diffraction record for Ta11Ni4Ir9. The PXRD pattern is simulated, not measured: it uses a structure optimized by DFT (PBE) and a wavelength of 1.5418 Å.

Main lines, sorted by position (10° ≤ 2θ ≤ 90°):
| d (Å) | Position (°2θ) | I_rel |
| --- | --- | --- |
| 2.349 | 38.3 | 66 |
| 2.323 | 38.8 | 25 |
| 2.281 | 39.5 | 97 |
| 2.267 | 39.8 | 38 |
| 2.228 | 40.5 | 96 |
| 2.216 | 40.7 | 32 |
| 2.140 | 42.2 | 100 |
| 2.112 | 42.8 | 19 |
| 1.482 | 62.7 | 34 |
| 1.452 | 64.1 | 22 |
| 1.323 | 71.3 | 24 |
| 1.243 | 76.7 | 28 |

Atomic structure:
Cell lengths 11.874, 11.874, 2.964 Å; angles 90.00, 90.00, 117.21 degrees
Positions (direct):
Ta  0.000  0.000  0.000
Ta  0.046  0.395  0.000
Ta  0.173  0.827  0.000
Ta  0.291  0.291  0.000
Ta  0.372  0.628  0.000
Ta  0.395  0.046  0.000
Ta  0.605  0.954  0.000
Ta  0.628  0.372  0.000
Ta  0.709  0.709  0.000
Ta  0.827  0.173  0.000
Ta  0.954  0.605  0.000
Ni  0.246  0.438  0.500
Ni  0.438  0.246  0.500
Ni  0.562  0.754  0.500
Ni  0.754  0.562  0.500
Ir  0.055  0.205  0.500
Ir  0.160  0.612  0.500
Ir  0.205  0.055  0.500
Ir  0.388  0.840  0.500
Ir  0.500  0.500  0.500
Ir  0.612  0.160  0.500
Ir  0.795  0.945  0.500
Ir  0.840  0.388  0.500
Ir  0.945  0.795  0.500

---

Diffraction record for Ta2Ni9Ir. The PXRD pattern is simulated, not measured: it uses a structure optimized by DFT (PBE) and a wavelength of 1.5418 Å.

Main lines, sorted by position (10° ≤ 2θ ≤ 90°):
| d (Å) | Position (°2θ) | I_rel |
| --- | --- | --- |
| 4.278 | 20.8 | 36 |
| 3.550 | 25.1 | 22 |
| 2.946 | 30.3 | 22 |
| 2.818 | 31.8 | 20 |
| 2.136 | 42.3 | 84 |
| 2.125 | 42.5 | 82 |
| 2.116 | 42.7 | 80 |
| 2.099 | 43.1 | 79 |
| 1.842 | 49.5 | 100 |
| 1.821 | 50.1 | 50 |
| 1.293 | 73.2 | 30 |
| 1.102 | 88.7 | 29 |

Atomic structure:
Cell lengths 4.449, 5.849, 6.348 Å; angles 69.03, 89.99, 75.14 degrees
Positions (direct):
Ta  0.093  0.223  0.082
Ta  0.907  0.777  0.918
Ni  0.161  0.504  0.666
Ni  0.260  0.735  0.251
Ni  0.335  0.013  0.821
Ni  0.421  0.252  0.413
Ni  0.500  0.500  0.000
Ni  0.579  0.748  0.587
Ni  0.665  0.987  0.179
Ni  0.740  0.265  0.749
Ni  0.839  0.496  0.334
Ir  0.000  0.000  0.500

---

Diffraction record for TaNi5Ir6. The PXRD pattern is simulated, not measured: it uses a structure optimized by DFT (PBE) and a wavelength of 1.5418 Å.

Main lines, sorted by position (10° ≤ 2θ ≤ 90°):
| d (Å) | Position (°2θ) | I_rel |
| --- | --- | --- |
| 3.622 | 24.6 | 19 |
| 2.721 | 32.9 | 18 |
| 2.177 | 41.5 | 100 |
| 2.170 | 41.6 | 33 |
| 1.924 | 47.3 | 46 |
| 1.811 | 50.4 | 19 |
| 1.362 | 68.9 | 7 |
| 1.320 | 71.5 | 13 |
| 1.317 | 71.6 | 13 |
| 1.154 | 83.8 | 26 |
| 1.152 | 84.0 | 9 |
| 1.104 | 88.6 | 12 |

Atomic structure:
Cell lengths 4.534, 5.448, 6.522 Å; angles 90.00, 93.25, 90.00 degrees
Positions (direct):
Ta  0.000  0.000  0.000
Ni  0.000  0.500  0.000
Ni  0.333  0.000  0.668
Ni  0.334  0.500  0.676
Ni  0.666  0.500  0.324
Ni  0.667  0.000  0.332
Ir  0.171  0.254  0.340
Ir  0.171  0.746  0.340
Ir  0.500  0.257  0.000
Ir  0.500  0.743  0.000
Ir  0.829  0.254  0.660
Ir  0.829  0.746  0.660

---

Diffraction record for Tb2NiIr. The PXRD pattern is simulated, not measured: it uses a structure optimized by DFT (PBE) and a wavelength of 1.5418 Å.

Main lines, sorted by position (10° ≤ 2θ ≤ 90°):
| d (Å) | Position (°2θ) | I_rel |
| --- | --- | --- |
| 2.728 | 32.8 | 100 |
| 2.649 | 33.8 | 23 |
| 2.615 | 34.3 | 36 |
| 2.226 | 40.5 | 31 |
| 2.205 | 40.9 | 64 |
| 2.052 | 44.1 | 28 |
| 1.945 | 46.7 | 23 |
| 1.622 | 56.8 | 20 |
| 1.614 | 57.1 | 17 |
| 1.464 | 63.5 | 16 |
| 1.411 | 66.2 | 33 |
| 1.162 | 83.1 | 18 |

Atomic structure:
Cell lengths 5.644, 4.103, 7.779 Å; angles 90.00, 110.16, 90.00 degrees
Positions (direct):
Tb  0.214  0.250  0.432
Tb  0.216  0.250  0.926
Tb  0.784  0.750  0.074
Tb  0.786  0.750  0.568
Ni  0.347  0.750  0.209
Ni  0.653  0.250  0.791
Ir  0.353  0.750  0.715
Ir  0.647  0.250  0.285

---

Diffraction record for Tb3Ni3Ir. The PXRD pattern is simulated, not measured: it uses a structure optimized by DFT (PBE) and a wavelength of 1.5418 Å.

Main lines, sorted by position (10° ≤ 2θ ≤ 90°):
| d (Å) | Position (°2θ) | I_rel |
| --- | --- | --- |
| 2.882 | 31.0 | 73 |
| 2.670 | 33.6 | 73 |
| 2.581 | 34.8 | 82 |
| 2.530 | 35.5 | 25 |
| 2.475 | 36.3 | 100 |
| 2.429 | 37.0 | 38 |
| 2.208 | 40.9 | 53 |
| 2.138 | 42.3 | 64 |
| 2.110 | 42.9 | 30 |
| 1.669 | 55.0 | 37 |
| 1.548 | 59.7 | 24 |
| 1.320 | 71.5 | 23 |

Atomic structure:
Cell lengths 5.307, 5.307, 12.784 Å; angles 90.00, 90.00, 132.50 degrees
Positions (direct):
Tb  0.010  0.990  0.750
Tb  0.280  0.720  0.101
Tb  0.280  0.720  0.399
Tb  0.720  0.280  0.601
Tb  0.720  0.280  0.899
Tb  0.990  0.010  0.250
Ni  0.302  0.698  0.750
Ni  0.430  0.570  0.588
Ni  0.430  0.570  0.912
Ni  0.570  0.430  0.088
Ni  0.570  0.430  0.412
Ni  0.698  0.302  0.250
Ir  0.000  0.000  0.000
Ir  0.000  0.000  0.500

---

Diffraction record for Tb3NiIr. The PXRD pattern is simulated, not measured: it uses a structure optimized by DFT (PBE) and a wavelength of 1.5418 Å.

Main lines, sorted by position (10° ≤ 2θ ≤ 90°):
| d (Å) | Position (°2θ) | I_rel |
| --- | --- | --- |
| 6.438 | 13.8 | 17 |
| 3.176 | 28.1 | 15 |
| 2.746 | 32.6 | 34 |
| 2.719 | 32.9 | 93 |
| 2.629 | 34.1 | 19 |
| 2.415 | 37.2 | 100 |
| 2.277 | 39.6 | 14 |
| 1.993 | 45.5 | 26 |
| 1.752 | 52.2 | 21 |
| 1.473 | 63.1 | 32 |
| 1.316 | 71.7 | 16 |
| 1.252 | 76.0 | 14 |

Atomic structure:
Cell lengths 3.986, 9.107, 6.438 Å; angles 90.00, 90.00, 90.00 degrees
Positions (direct):
Tb  0.250  0.059  0.229
Tb  0.250  0.250  0.717
Tb  0.250  0.441  0.229
Tb  0.750  0.559  0.771
Tb  0.750  0.750  0.283
Tb  0.750  0.941  0.771
Ni  0.250  0.750  0.576
Ni  0.750  0.250  0.424
Ir  0.250  0.750  0.976
Ir  0.750  0.250  0.024

---

Diffraction record for TbNiIr2. The PXRD pattern is simulated, not measured: it uses a structure optimized by DFT (PBE) and a wavelength of 1.5418 Å.

Main lines, sorted by position (10° ≤ 2θ ≤ 90°):
| d (Å) | Position (°2θ) | I_rel |
| --- | --- | --- |
| 6.487 | 13.7 | 68 |
| 5.360 | 16.5 | 56 |
| 3.198 | 27.9 | 63 |
| 2.823 | 31.7 | 59 |
| 2.680 | 33.4 | 97 |
| 2.527 | 35.5 | 100 |
| 2.267 | 39.8 | 46 |
| 2.233 | 40.4 | 82 |
| 2.087 | 43.4 | 55 |
| 2.016 | 45.0 | 85 |
| 2.005 | 45.2 | 57 |
| 1.978 | 45.9 | 37 |

Atomic structure:
Cell lengths 6.253, 6.487, 9.408 Å; angles 90.00, 121.01, 90.00 degrees
Positions (direct):
Tb  0.000  0.209  0.250
Tb  0.000  0.791  0.750
Tb  0.500  0.286  0.750
Tb  0.500  0.714  0.250
Ni  0.000  0.345  0.750
Ni  0.000  0.655  0.250
Ni  0.500  0.152  0.250
Ni  0.500  0.848  0.750
Ir  0.000  0.500  0.000
Ir  0.000  0.500  0.500
Ir  0.379  0.365  0.011
Ir  0.379  0.635  0.511
Ir  0.500  0.000  0.000
Ir  0.500  0.000  0.500
Ir  0.621  0.365  0.489
Ir  0.621  0.635  0.989